Computed powder XRD pattern of ReTeSCl4 for Cu Kα (λ = 1.5418 Å), from the PBE geometry in the Materials Project.
Peak positions follow from Bragg's law for the DFT cell and can differ from measured ones.

The 10 most intense peaks (2θ = 5–70°), low angle first:
| index | Position (°2θ) | d (Å) | Rel. int. |
| --- | --- | --- | --- |
| 1 0 1 | 10.27 | 8.615 | 100 |
| 1 1 0 | 11.22 | 7.884 | 33 |
| 1 1 2 | 17.24 | 5.143 | 28 |
| 2 1 1 | 18.96 | 4.680 | 17 |
| 2 0 2 | 20.62 | 4.308 | 8 |
| 2 3 1 | 29.63 | 3.015 | 14 |
| 3 1 4 | 36.74 | 2.446 | 7 |
| 4 2 2 | 38.47 | 2.340 | 10 |
| 3 4 1 | 41.02 | 2.200 | 13 |
| 5 0 3 | 45.34 | 2.000 | 8 |

Cell and atoms:
abc: 11.149 11.149 13.572
angles: 90.00 90.00 90.00
Space group I-4 (No. 82)
One atom of each set of equivalent atoms:
Re 0.028 0.380 0.323 (multiplicity 8)
Te 0.194 0.208 0.382 (multiplicity 8)
S 0.038 0.336 0.156 (multiplicity 8)
Cl 0.051 0.355 0.504 (multiplicity 8)
Cl 0.058 0.822 0.341 (multiplicity 8)
Cl 0.111 0.727 0.761 (multiplicity 8)
Cl 0.127 0.188 0.927 (multiplicity 8)